1.
Calculated powder X-ray diffraction pattern of MgTi2Si2O8 for Cu Kα, from a cell relaxed with GGA-PBE.
No peak broadening, texture or thermal motion is included.

Main lines, sorted by position (10 to 90 degrees two-theta):
(2 0 0), 2θ 22.25, d 3.995, rel. 100; (0 2 0), 2θ 27.67, d 3.224, rel. 87; (1 1 -2), 2θ 33.42, d 2.681, rel. 64; (0 0 2), 2θ 34.42, d 2.606, rel. 27; (4 0 0), 2θ 45.41, d 1.997, rel. 19; (5 1 -2), 2θ 52.04, d 1.757, rel. 19; (1 3 -2), 2θ 52.71, d 1.737, rel. 30; (5 3 -2), 2θ 67.27, d 1.392, rel. 16

Structural model:
```
data_MgTi2Si2O8
_chemical_formula_sum 'Mg2 Ti4 Si4 O16'
_cell_length_a 9.2128
_cell_length_b 6.4471
_cell_length_c 6.0106
_cell_angle_alpha 90.00
_cell_angle_beta 119.86
_cell_angle_gamma 90.00
_space_group_name_H-M_alt 'C 1 2/m 1'
_space_group_IT_number 12
loop_
_space_group_symop_operation_xyz
'x,y,z'
'-x,-y,-z'
'-x,y,-z'
'x,-y,z'
'x+1/2,y+1/2,z'
'-x+1/2,-y+1/2,-z'
'-x+1/2,y+1/2,-z'
'x+1/2,-y+1/2,z'
loop_
_atom_site_label
_atom_site_fract_x
_atom_site_fract_y
_atom_site_fract_z
_atom_site_occupancy
Mg1 0.0000 0.0000 0.0000 1
Ti1 0.2356 0.5000 0.3709 1
Si1 0.1929 0.5000 0.8152 1
O1 0.0040 0.5000 0.7520 1
O2 0.1684 0.0000 0.8728 1
O3 0.2271 0.1817 0.2948 1
```

2.
Calculated powder X-ray diffraction pattern of Tb2Ti2O7 for Cu Kα, from a cell relaxed with GGA-PBE.
No peak broadening, texture or thermal motion is included.

Main lines, sorted by position (10 to 90 degrees two-theta):
(0 1 2), 2θ 21.37, d 4.159, rel. 54; (0 0 4), 2θ 27.21, d 3.277, rel. 34; (2 1 0), 2θ 29.10, d 3.069, rel. 34; (2 1 -2), 2θ 30.69, d 2.914, rel. 100; (0 1 4), 2θ 31.98, d 2.799, rel. 28; (0 2 0), 2θ 33.30, d 2.690, rel. 33; (2 1 -3), 2θ 33.66, d 2.662, rel. 49; (4 0 -1), 2θ 48.22, d 1.887, rel. 30

Structural model:
```
data_Tb2Ti2O7
_chemical_formula_sum 'Tb8 Ti8 O28'
_cell_length_a 7.5500
_cell_length_b 5.3808
_cell_length_c 13.2486
_cell_angle_alpha 90.00
_cell_angle_beta 98.36
_cell_angle_gamma 90.00
_space_group_name_H-M_alt 'P 1 21 1'
_space_group_IT_number 4
loop_
_space_group_symop_operation_xyz
'x,y,z'
'-x,y+1/2,-z'
loop_
_atom_site_label
_atom_site_fract_x
_atom_site_fract_y
_atom_site_fract_z
_atom_site_occupancy
Tb1 0.1436 0.0000 0.0635 1
Tb2 0.2357 0.5976 0.4253 1
Tb3 0.2840 0.1183 0.6320 1
Tb4 0.3525 0.5793 0.8844 1
Ti1 0.0305 0.5977 0.6233 1
Ti2 0.0687 0.0751 0.8214 1
Ti3 0.4114 0.5638 0.1708 1
Ti4 0.4700 0.0990 0.3716 1
O1 0.0095 0.9325 0.6803 1
O2 0.0573 0.3309 0.5244 1
O3 0.0733 0.7980 0.9074 1
O4 0.1269 0.4117 0.7321 1
O5 0.1381 0.2927 0.9311 1
O6 0.1733 0.6831 0.1845 1
O7 0.2216 0.0227 0.3833 1
O8 0.2727 0.7115 0.5909 1
O9 0.3261 0.9851 0.8050 1
O10 0.3664 0.2654 0.1154 1
O11 0.4120 0.7703 0.0527 1
O12 0.4231 0.4350 0.3211 1
O13 0.4549 0.3360 0.5292 1
O14 0.4868 0.4143 0.7377 1
```

3.
Calculated powder X-ray diffraction pattern of Bi2TeI for Cu Kα, from a cell relaxed with GGA-PBE.
No peak broadening, texture or thermal motion is included.

Main lines, sorted by position (10 to 90 degrees two-theta):
(0 0 9), 2θ 13.89, d 6.378, rel. 28; (0 1 8), 2θ 26.31, d 3.387, rel. 100; (1 0 16), 2θ 34.19, d 2.622, rel. 35; (0 1 17), 2θ 35.39, d 2.536, rel. 22; (1 1 0), 2θ 40.67, d 2.218, rel. 36; (1 0 25), 2θ 46.05, d 1.971, rel. 17; (2 0 8), 2θ 49.09, d 1.856, rel. 19; (1 2 8), 2θ 65.58, d 1.423, rel. 16

Structural model:
```
data_Bi2TeI
_chemical_formula_sum 'Bi12 Te6 I6'
_cell_length_a 4.4368
_cell_length_b 4.4368
_cell_length_c 57.3982
_cell_angle_alpha 90.00
_cell_angle_beta 90.00
_cell_angle_gamma 120.00
_space_group_name_H-M_alt 'R -3 m'
_space_group_IT_number 166
_space_group_name_Hall '-R 3 2"'
loop_
_atom_site_label
_atom_site_fract_x
_atom_site_fract_y
_atom_site_fract_z
_atom_site_occupancy
Bi1 0.0000 0.0000 0.0591 1
Bi2 0.0000 0.0000 0.1808 1
Te1 0.0000 0.0000 0.3050 1
I1 0.0000 0.0000 0.4275 1
```

4.
Calculated powder X-ray diffraction pattern of BaNd2PdO5 for Cu Kα, from a cell relaxed with GGA-PBE.
No peak broadening, texture or thermal motion is included.

Main lines, sorted by position (10 to 90 degrees two-theta):
(2 1 0), 2θ 29.31, d 3.047, rel. 17; (0 0 2), 2θ 29.87, d 2.991, rel. 39; (2 0 1), 2θ 30.19, d 2.960, rel. 100; (2 1 1), 2θ 32.99, d 2.715, rel. 46; (2 2 0), 2θ 37.33, d 2.409, rel. 23; (2 1 2), 2θ 42.34, d 2.135, rel. 35; (2 2 2), 2θ 48.53, d 1.876, rel. 21; (2 0 3), 2θ 53.22, d 1.721, rel. 20

Structural model:
```
data_BaNd2PdO5
_chemical_formula_sum 'Ba2 Nd4 Pd2 O10'
_cell_length_a 6.8125
_cell_length_b 6.8125
_cell_length_c 5.9830
_cell_angle_alpha 90.00
_cell_angle_beta 90.00
_cell_angle_gamma 90.00
_space_group_name_H-M_alt 'P 4/m b m'
_space_group_IT_number 127
_space_group_name_Hall '-P 4 2ab'
loop_
_atom_site_label
_atom_site_fract_x
_atom_site_fract_y
_atom_site_fract_z
_atom_site_occupancy
Ba1 0.0000 0.0000 0.0000 1
Nd1 0.1737 0.3263 0.5000 1
Pd1 0.0000 0.5000 0.0000 1
O1 0.0000 0.0000 0.5000 1
O2 0.1405 0.6405 0.2519 1
```